1.
Structure and simulated XRD peak list of K3RbAs2Au2 (a cell relaxed with PBE; Cu Kα X-rays).
Kinematic intensities with the Lorentz-polarization factor, no thermal factor.

Atomic structure:
```
K3RbAs2Au2
1.0
6.3520 0.0000 0.0000
0.0000 6.4568 0.0000
-1.7767 0.0000 6.1626
K Rb As Au
3 1 2 2
direct
0.0000 0.0000 0.0000
0.3046 0.5000 0.3043
0.6517 0.0000 0.3447
0.9562 0.5000 0.6484
0.2261 0.0000 0.5697
0.7274 0.5000 0.0840
0.4813 0.2486 0.8250
0.4813 0.7514 0.8250
```

Most intense lines, 5 to 70 degrees two-theta, in order of rising 2θ:
hkl	d [Å]	2θ/deg	intensity
0 0 1	6.163	14.4	96
1 0 0	6.103	14.5	66
1 0 -1	5.100	17.4	90
1 0 -2	3.120	28.6	38
2 0 -1	3.097	28.8	41
1 2 0	2.856	31.3	100
1 1 -2	2.809	31.9	25
1 2 -1	2.728	32.8	28
1 2 1	2.472	36.3	81
0 2 2	2.229	40.5	36
2 2 0	2.218	40.7	27
3 2 -1	1.769	51.7	25

***

2.
Structure and simulated XRD peak list of BeHg3S4 (a cell relaxed with PBE; Cu Kα X-rays).
Kinematic intensities with the Lorentz-polarization factor, no thermal factor.

Atomic structure:
```
BeHg3S4
1.0
5.7008 0.0000 0.0000
0.0000 5.7008 0.0000
0.0000 0.0000 11.3083
Be Hg S
2 6 8
direct
0.0000 0.0000 0.0000
0.5000 0.5000 0.5000
0.0000 0.0000 0.5000
0.0000 0.5000 0.2500
0.0000 0.5000 0.7500
0.5000 0.0000 0.2500
0.5000 0.0000 0.7500
0.5000 0.5000 0.0000
0.2150 0.2150 0.1095
0.2150 0.7850 0.8905
0.2850 0.2850 0.6095
0.2850 0.7150 0.3905
0.7150 0.2850 0.3905
0.7150 0.7150 0.6095
0.7850 0.2150 0.8905
0.7850 0.7850 0.1095
```

Most intense lines, 5 to 70 degrees two-theta, in order of rising 2θ:
hkl	d [Å]	2θ/deg	intensity
1 0 1	5.091	17.4	20
1 1 0	4.031	22.1	7
1 1 2	3.282	27.2	100
1 0 3	3.144	28.4	10
2 0 0	2.850	31.4	21
0 0 4	2.827	31.6	10
2 1 1	2.487	36.1	12
2 2 0	2.016	45.0	17
2 0 4	2.007	45.2	34
3 1 2	1.718	53.3	31
1 1 6	1.707	53.7	15
2 2 4	1.641	56.0	10

***

3.
Structure and simulated XRD peak list of TbDyPbC (a cell relaxed with PBE; Cu Kα X-rays).
Kinematic intensities with the Lorentz-polarization factor, no thermal factor.

Atomic structure:
```
TbDyPbC
1.0
3.6456 0.0000 0.0000
-1.8228 3.1572 0.0000
0.0000 0.0000 16.1986
Tb Dy Pb C
2 2 2 2
direct
0.0000 0.0000 0.1672
0.0000 0.0000 0.8328
0.3333 0.6667 0.3327
0.3333 0.6667 0.6673
0.0000 0.0000 0.5000
0.3333 0.6667 0.0000
0.6667 0.3333 0.2501
0.6667 0.3333 0.7499
```

Most intense lines, 5 to 70 degrees two-theta, in order of rising 2θ:
hkl	d [Å]	2θ/deg	intensity
1 0 0	3.157	28.3	22
1 0 1	3.099	28.8	1
1 0 3	2.725	32.9	100
0 0 6	2.700	33.2	21
1 0 6	2.052	44.1	16
1 1 0	1.823	50.0	21
2 0 0	1.579	58.5	3
1 0 9	1.564	59.1	19
2 0 3	1.515	61.2	17
1 1 6	1.511	61.4	22
2 0 6	1.363	68.9	4
0 0 12	1.350	69.7	3

***

4.
Structure and simulated XRD peak list of SmDyAu6 (a cell relaxed with PBE; Cu Kα X-rays).
Kinematic intensities with the Lorentz-polarization factor, no thermal factor.

Atomic structure:
```
SmDyAu6
1.0
5.0540 0.0000 0.0000
0.0000 6.2566 0.0000
0.0000 0.0000 5.1594
Sm Dy Au
1 1 6
direct
0.0000 0.0000 0.0000
0.5000 0.5000 0.6865
0.0000 0.2620 0.5047
0.0000 0.5000 0.0087
0.0000 0.7380 0.5047
0.5000 0.0000 0.6672
0.5000 0.2482 0.1803
0.5000 0.7518 0.1803
```

Most intense lines, 5 to 70 degrees two-theta, in order of rising 2θ:
hkl	d [Å]	2θ/deg	intensity
1 1 0	3.932	22.6	2
0 2 1	2.675	33.5	26
0 0 2	2.580	34.8	9
2 0 0	2.527	35.5	41
1 2 1	2.364	38.1	100
1 0 2	2.298	39.2	50
2 2 1	1.837	49.6	17
2 0 2	1.805	50.6	7
0 4 0	1.564	59.1	9
0 2 3	1.507	61.5	17
3 2 1	1.426	65.5	21
3 0 2	1.411	66.3	11

***

5.
Structure and simulated XRD peak list of CsOsSO (a cell relaxed with PBE; Cu Kα X-rays).
Kinematic intensities with the Lorentz-polarization factor, no thermal factor.

Atomic structure:
```
CsOsSO
1.0
6.6911 0.0000 0.0000
0.0000 9.1414 0.0000
0.0000 0.0000 5.8749
Cs Os S O
4 4 4 4
direct
0.0680 0.1583 0.0000
0.4320 0.1583 0.5000
0.5680 0.8417 0.0000
0.9320 0.8417 0.5000
0.1184 0.6258 0.9986
0.3816 0.6258 0.4986
0.6184 0.3742 0.9986
0.8816 0.3742 0.4986
0.1297 0.4971 0.6694
0.3703 0.4971 0.1694
0.6297 0.5029 0.6694
0.8703 0.5029 0.1694
0.0741 0.8252 0.9943
0.4259 0.8252 0.4943
0.5741 0.1748 0.9943
0.9259 0.1748 0.4943
```

Most intense lines, 5 to 70 degrees two-theta, in order of rising 2θ:
hkl	d [Å]	2θ/deg	intensity
0 1 0	9.141	9.7	40
1 2 0	3.774	23.6	40
1 2 1	3.175	28.1	100
0 0 2	2.937	30.4	38
2 0 1	2.907	30.8	58
1 2 2	2.318	38.8	23
3 2 0	2.004	45.2	16
0 4 2	1.804	50.6	16
2 4 1	1.797	50.8	28
1 2 3	1.738	52.7	18
2 0 3	1.690	54.3	16
3 2 2	1.656	55.5	17

***

6.
Structure and simulated XRD peak list of LiYSnPd (a cell relaxed with PBE; Cu Kα X-rays).
Kinematic intensities with the Lorentz-polarization factor, no thermal factor.

Atomic structure:
```
LiYSnPd
1.0
6.8627 0.0000 0.0000
0.0000 6.8627 0.0000
0.0000 0.0000 6.8627
Li Y Sn Pd
4 4 4 4
direct
0.0474 0.4526 0.5474
0.4526 0.5474 0.0474
0.5474 0.0474 0.4526
0.9526 0.9526 0.9526
0.2063 0.2063 0.2063
0.2937 0.7937 0.7063
0.7063 0.2937 0.7937
0.7937 0.7063 0.2937
0.0343 0.5343 0.9657
0.4657 0.4657 0.4657
0.5343 0.9657 0.0343
0.9657 0.0343 0.5343
0.2284 0.7716 0.2716
0.2716 0.2284 0.7716
0.7284 0.7284 0.7284
0.7716 0.2716 0.2284
```

Most intense lines, 5 to 70 degrees two-theta, in order of rising 2θ:
hkl	d [Å]	2θ/deg	intensity
1 1 1	3.962	22.4	39
2 0 0	3.431	26.0	8
2 0 1	3.069	29.1	8
2 1 1	2.802	31.9	17
2 2 0	2.426	37.1	100
3 0 1	2.170	41.6	27
3 1 1	2.069	43.7	19
3 2 1	1.834	49.7	11
4 0 0	1.716	53.4	11
3 3 2	1.463	63.6	12
4 2 2	1.401	66.8	17
5 0 1	1.346	69.9	17